Starting from a crystal structure in Alexandria, relaxed with GGA-PBE, the PXRD pattern of ReIrRh4 was calculated for Cu Ka.
Kinematic intensities with the Lorentz-polarization factor, no thermal factor.

Principal peaks in the range 2θ from 5° to 70°, by intensity:
| 2theta | d [Å] | I_rel | h k l |
| --- | --- | --- | --- |
| 40.51 | 2.227 | 1000 | 2 -1 1 |
| 47.12 | 1.929 | 485 | 2 0 -2 |
| 68.83 | 1.364 | 206 | 3 1 0 |
| 68.89 | 1.363 | 103 | 2 -2 4 |
| 14.32 | 6.186 | 52 | 0 0 1 |
| 19.57 | 4.536 | 28 | 1 0 0 |
| 21.73 | 4.089 | 17 | 1 -1 0 |
| 23.72 | 3.751 | 15 | 1 -1 1 |
| 25.53 | 3.490 | 14 | 1 0 1 |
| 33.30 | 2.690 | 13 | 1 -2 0 |

Structure:
a = 4.720 Å, b = 6.101 Å, c = 6.680 Å
α = 111.37°, β = 90.01°, γ = 104.92°
Sites, in units of the cell vectors:
Re1 0.205 0.368 0.455
Re2 0.795 0.632 0.545
Ir1 0.038 0.876 0.295
Ir2 0.962 0.124 0.705
Rh1 0.120 0.626 0.872
Rh2 0.289 0.127 0.045
Rh3 0.374 0.868 0.621
Rh4 0.463 0.620 0.211
Rh5 0.537 0.380 0.789
Rh6 0.626 0.132 0.379
Rh7 0.711 0.873 0.955
Rh8 0.880 0.374 0.128